Calculated powder XRD pattern
Compound: CoH18OsC6S6N12
Radiation: CuKα
Structure: a GGA-PBE-relaxed structure
Peak positions follow from Bragg's law for the DFT cell and can differ from measured ones.

Unit cell a=12.0653 b=12.0653 c=11.7920 alpha=90.00 beta=90.00 gamma=120.00
Space group R-3 (No. 148, hexagonal axes)
Unique sites:
Co  0.0000  0.0000  0.0000
H  0.9998  0.2040  0.9564
H  0.0519  0.8866  0.1566
H  0.0899  0.8952  0.8735
Os  0.0000  0.0000  0.5000
C  0.0428  0.6169  0.1266
S  0.0253  0.8563  0.3787
N  0.0141  0.1416  0.9079
N  0.0198  0.2875  0.1516

Most intense lines, 2θ = 5–70°, low angle first:
| Position (°2θ) | I_rel |
| --- | --- |
| 11.31 | 68 |
| 14.68 | 100 |
| 17.27 | 80 |
| 22.74 | 39 |
| 25.58 | 20 |
| 27.18 | 37 |
| 34.46 | 52 |
| 37.60 | 18 |
| 38.09 | 29 |
| 43.81 | 19 |

=====

Calculated powder XRD pattern
Compound: RbCoH24C14N8
Radiation: CuKα
Structure: a GGA-PBE-relaxed structure
Peak positions follow from Bragg's law for the DFT cell and can differ from measured ones.

Unit cell a=8.544 b=8.544 c=12.330 alpha=90.00 beta=90.00 gamma=90.00
Space group I4/m (No. 87)
Unique sites:
Rb  0.000  0.000  0.000
Co  0.000  0.000  0.500
H  0.017  0.338  0.121
H  0.071  0.329  0.364
H  0.110  0.721  0.230
C  0.000  0.000  0.348
C  0.072  0.623  0.179
C  0.128  0.821  0.500
N  0.000  0.000  0.252
N  0.000  0.500  0.250
N  0.210  0.711  0.500

Most intense lines, 2θ = 5–70°, low angle first:
| Position (°2θ) | I_rel |
| --- | --- |
| 14.37 | 17 |
| 14.66 | 29 |
| 20.58 | 100 |
| 20.79 | 49 |
| 28.97 | 19 |
| 29.57 | 36 |
| 31.98 | 21 |
| 32.61 | 21 |
| 33.16 | 28 |
| 41.87 | 21 |